# 1
Tb3Sm3Sc5: theoretical PXRD pattern (Cu Kα (λ = 1.5418 Å)), based on a crystal structure in Alexandria, relaxed with PBE.
Neutral-atom scattering factors, no anomalous dispersion.

Cell and atoms:
Lattice parameters (Å, degrees): 9.0362 9.0362 5.4305 90.00 90.00 120.00
Space group P-62m (No. 189)
Asymmetric unit:
Tb: 0.0000 0.3806 0.0000 [3 per cell]
Sm: 0.0000 0.6180 0.5000 [3 per cell]
Sc: 0.0000 0.2411 0.5000 [3 per cell]
Sc: 0.3333 0.6667 0.5000 [2 per cell]

Top 10 peaks for 10° ≤ 2θ ≤ 80°, in order of falling intensity:
2θ = 25.6°, I 100.0, hkl 1 1 1; 2θ = 34.5°, I 44.6, hkl 2 1 1; 2θ = 34.4°, I 37.3, hkl 3 0 0; 2θ = 19.6°, I 35.4, hkl 1 1 0; 2θ = 48.4°, I 28.2, hkl 3 0 2; 2θ = 33.0°, I 28.1, hkl 0 0 2; 2θ = 45.0°, I 25.8, hkl 3 1 1; 2θ = 43.4°, I 20.7, hkl 2 2 1; 2θ = 11.3°, I 15.2, hkl 1 0 0; 2θ = 65.4°, I 14.5, hkl 4 2 1



# 2
TbSm12Sc2: theoretical PXRD pattern (Cu Kα (λ = 1.5418 Å)), based on a crystal structure in Alexandria, relaxed with PBE.
Neutral-atom scattering factors, no anomalous dispersion.

Cell and atoms:
Lattice parameters (Å, degrees): 6.8842 10.8760 26.2141 90.00 92.61 90.00
Space group C2/m (No. 12)
Asymmetric unit:
Tb: 0.2469 0.0000 0.0032 [4 per cell]
Sm: 0.0133 0.2558 0.0691 [8 per cell]
Sm: 0.1383 0.3269 0.4465 [8 per cell]
Sm: 0.1600 0.0000 0.4426 [4 per cell]
Sm: 0.1697 0.3155 0.6680 [8 per cell]
Sm: 0.2104 0.2349 0.7961 [8 per cell]
Sm: 0.2181 0.0000 0.6524 [4 per cell]
Sm: 0.2206 0.0000 0.8727 [4 per cell]
Sm: 0.2308 0.5000 0.8649 [4 per cell]
Sc: 0.0342 0.5000 0.2421 [4 per cell]
Sc: 0.0588 0.0000 0.2495 [4 per cell]

Top 10 peaks for 10° ≤ 2θ ≤ 80°, in order of falling intensity:
2θ = 30.8°, I 100.0, hkl 0 0 9; 2θ = 31.9°, I 80.1, hkl 0 2 8; 2θ = 31.3°, I 67.4, hkl 2 2 -2; 2θ = 32.4°, I 65.4, hkl 2 0 -6; 2θ = 29.0°, I 64.0, hkl 0 2 7; 2θ = 31.8°, I 58.6, hkl 2 0 5; 2θ = 33.1°, I 54.6, hkl 1 3 5; 2θ = 32.9°, I 45.8, hkl 0 4 0; 2θ = 46.9°, I 31.5, hkl 3 3 0; 2θ = 25.9°, I 29.6, hkl 2 0 0



# 3
TbSm6Sc3: theoretical PXRD pattern (Cu Kα (λ = 1.5418 Å)), based on a crystal structure in Alexandria, relaxed with PBE.
Neutral-atom scattering factors, no anomalous dispersion.

Cell and atoms:
Lattice parameters (Å, degrees): 9.5144 20.7437 6.2897 90.00 90.00 90.00
Space group Cmc2_1 (No. 36)
Asymmetric unit:
Tb: 0.0000 0.1542 0.0000 [4 per cell]
Sm: 0.0000 0.0147 0.7614 [4 per cell]
Sm: 0.0000 0.3023 0.7900 [4 per cell]
Sm: 0.1760 0.2814 0.3115 [8 per cell]
Sm: 0.1788 0.4430 0.5742 [8 per cell]
Sc: 0.0000 0.4170 0.0927 [4 per cell]
Sc: 0.1677 0.1266 0.4751 [8 per cell]

Top 10 peaks for 10° ≤ 2θ ≤ 80°, in order of falling intensity:
2θ = 31.9°, I 100.0, hkl 3 1 1; 2θ = 32.7°, I 85.1, hkl 1 3 2; 2θ = 29.2°, I 82.6, hkl 2 4 1; 2θ = 31.6°, I 69.5, hkl 1 7 0; 2θ = 34.2°, I 56.8, hkl 3 3 1; 2θ = 29.7°, I 43.6, hkl 0 2 2; 2θ = 58.2°, I 38.8, hkl 6 0 0; 2θ = 33.3°, I 36.8, hkl 0 4 2; 2θ = 16.5°, I 35.4, hkl 0 2 1; 2θ = 28.5°, I 35.0, hkl 3 1 0



# 4
Tb2Sm4Sc5: theoretical PXRD pattern (Cu Kα (λ = 1.5418 Å)), based on a crystal structure in Alexandria, relaxed with PBE.
Neutral-atom scattering factors, no anomalous dispersion.

Cell and atoms:
Lattice parameters (Å, degrees): 22.6733 3.3811 8.5717 90.00 92.44 90.00
Space group C2/m (No. 12)
Asymmetric unit:
Tb: 0.2317 0.0000 0.3210 [4 per cell]
Sm: 0.0500 0.5000 0.8318 [4 per cell]
Sm: 0.0873 0.0000 0.1955 [4 per cell]
Sc: 0.0000 0.0000 0.5000 [2 per cell]
Sc: 0.1289 0.5000 0.5248 [4 per cell]
Sc: 0.1897 0.5000 0.9848 [4 per cell]

Top 10 peaks for 10° ≤ 2θ ≤ 80°, in order of falling intensity:
2θ = 35.0°, I 100.0, hkl 5 1 1; 2θ = 35.6°, I 100.0, hkl 3 1 -2; 2θ = 32.9°, I 80.4, hkl 8 0 -1; 2θ = 32.3°, I 71.4, hkl 6 0 2; 2θ = 28.7°, I 71.3, hkl 1 1 1; 2θ = 12.7°, I 66.8, hkl 2 0 -1; 2θ = 32.0°, I 66.7, hkl 2 0 -3; 2θ = 52.4°, I 44.9, hkl 3 1 4; 2θ = 23.6°, I 40.4, hkl 6 0 0; 2θ = 28.6°, I 37.1, hkl 1 1 -1